(1)
Starting from a DFT-relaxed cell (GGA-PBE, the Materials Project), the XRD peak list of K2Mg2O3 was calculated for a wavelength of 1.5418 Å.
Intensities are scaled so that the largest is 100.

The 8 most intense peaks (5° ≤ 2θ ≤ 70°), by intensity:
h k l	d_spacing	two_theta	I_rel
1 2 -1	2.689	33.32	100
2 1 0	2.495	36.00	53
1 2 1	2.296	39.24	48
2 0 -2	2.581	34.76	40
1 1 -3	2.014	45.01	33
1 1 1	2.959	30.20	28
0 1 2	2.646	33.88	24
3 2 -3	1.510	61.40	22

Crystal structure
```
data_K2Mg2O3
_chemical_formula_sum 'K4 Mg4 O6'
_symmetry_space_group_name_H-M 'P 1 21/c 1'
_symmetry_Int_Tables_number 14
_cell_length_a 5.9511
_cell_length_b 6.3025
_cell_length_c 6.3859
_cell_angle_alpha 90.00
_cell_angle_beta 114.06
_cell_angle_gamma 90.00
loop_
_symmetry_equiv_pos_as_xyz
'x,y,z'
'-x,-y,-z'
'-x,y+1/2,-z+1/2'
'x,-y+1/2,z+1/2'
loop_
_atom_site_label
_atom_site_fract_x
_atom_site_fract_y
_atom_site_fract_z
K1 0.1782 0.1324 0.4264
Mg1 0.3372 0.6077 0.5760
O1 0.0000 0.0000 0.0000
O2 0.4171 0.6417 0.2940
```



(2)
Starting from a DFT-relaxed cell (GGA-PBE, the Materials Project), the XRD peak list of KTe2O9 was calculated for a wavelength of 1.5418 Å.
Intensities are scaled so that the largest is 100.

The 8 most intense peaks (5° ≤ 2θ ≤ 70°), by intensity:
h k l	d_spacing	two_theta	I_rel
1 0 0	5.370	16.51	100
0 2 3	3.432	25.96	78
1 1 -2	4.244	20.93	72
1 0 -2	4.840	18.33	53
1 1 -1	4.576	19.40	52
0 1 1	7.760	11.40	51
1 2 1	3.272	27.25	48
0 0 4	4.111	21.62	36

Crystal structure
```
data_KTe2O9
_chemical_formula_sum 'K4 Te8 O36'
_symmetry_space_group_name_H-M 'P 1 21/c 1'
_symmetry_Int_Tables_number 14
_cell_length_a 5.4309
_cell_length_b 8.8017
_cell_length_c 16.6322
_cell_angle_alpha 90.00
_cell_angle_beta 98.61
_cell_angle_gamma 90.00
loop_
_symmetry_equiv_pos_as_xyz
'x,y,z'
'-x,-y,-z'
'-x,y+1/2,-z+1/2'
'x,-y+1/2,z+1/2'
loop_
_atom_site_label
_atom_site_fract_x
_atom_site_fract_y
_atom_site_fract_z
K1 0.0137 0.1001 0.2151
Te1 0.3636 0.5828 0.9271
Te2 0.4587 0.7008 0.6095
O1 0.0409 0.6115 0.8680
O2 0.1557 0.7381 0.6528
O3 0.2257 0.1148 0.9132
O4 0.2914 0.0544 0.5157
O5 0.3225 0.7373 0.4968
O6 0.3469 0.0106 0.1076
O7 0.3841 0.1064 0.7886
O8 0.4033 0.1002 0.3576
O9 0.4282 0.7152 0.8416
```



(3)
Starting from a DFT-relaxed cell (GGA-PBE, the Materials Project), the XRD peak list of HoScS3 was calculated for a wavelength of 1.5418 Å.
Intensities are scaled so that the largest is 100.

The 8 most intense peaks (5° ≤ 2θ ≤ 70°), by intensity:
h k l	d_spacing	two_theta	I_rel
1 1 2	3.351	26.60	100
1 1 1	4.222	21.04	64
2 0 3	2.353	38.25	41
1 1 3	2.635	34.02	40
2 2 1	2.286	39.42	39
3 1 1	2.133	42.37	39
0 0 2	4.770	18.60	32
1 2 1	2.773	32.28	32

Crystal structure
```
data_HoScS3
_chemical_formula_sum 'Ho4 Sc4 S12'
_symmetry_space_group_name_H-M 'P n a 21'
_symmetry_Int_Tables_number 33
_cell_length_a 6.9919
_cell_length_b 6.3699
_cell_length_c 9.5392
_cell_angle_alpha 90.00
_cell_angle_beta 90.00
_cell_angle_gamma 90.00
loop_
_symmetry_equiv_pos_as_xyz
'x,y,z'
'-x,-y,z+1/2'
'-x+1/2,y+1/2,z+1/2'
'x+1/2,-y+1/2,z'
loop_
_atom_site_label
_atom_site_fract_x
_atom_site_fract_y
_atom_site_fract_z
Ho1 0.1009 0.0410 0.0000
Sc1 0.0041 0.5039 0.2461
S1 0.0489 0.3543 0.4975
S2 0.1816 0.8227 0.6784
S3 0.1866 0.8257 0.3226
```



(4)
Starting from a DFT-relaxed cell (GGA-PBE, the Materials Project), the XRD peak list of Dy2MgCu2 was calculated for a wavelength of 1.5418 Å.
Intensities are scaled so that the largest is 100.

The 8 most intense peaks (5° ≤ 2θ ≤ 70°), by intensity:
h k l	d_spacing	two_theta	I_rel
2 1 1	2.500	35.92	100
3 1 0	2.446	36.75	25
1 1 0	5.469	16.21	23
2 0 1	2.642	33.93	22
2 1 0	3.459	25.76	21
4 1 1	1.665	55.16	16
2 0 0	3.867	23.00	14
4 1 0	1.876	48.53	14

Crystal structure
```
data_Dy2MgCu2
_chemical_formula_sum 'Dy4 Mg2 Cu4'
_symmetry_space_group_name_H-M 'P 4/m b m'
_symmetry_Int_Tables_number 127
_symmetry_space_group_name_Hall '-P 4 2ab'
_cell_length_a 7.7339
_cell_length_b 7.7339
_cell_length_c 3.6175
_cell_angle_alpha 90.00
_cell_angle_beta 90.00
_cell_angle_gamma 90.00
loop_
_atom_site_label
_atom_site_fract_x
_atom_site_fract_y
_atom_site_fract_z
Dy1 0.1706 0.3294 0.0000
Mg1 0.0000 0.0000 0.5000
Cu1 0.1212 0.6212 0.5000
```



(5)
Starting from a DFT-relaxed cell (GGA-PBE, the Materials Project), the XRD peak list of HfTaFe4 was calculated for a wavelength of 1.5418 Å.
Intensities are scaled so that the largest is 100.

The 8 most intense peaks (5° ≤ 2θ ≤ 70°), by intensity:
h k l	d_spacing	two_theta	I_rel
0 1 3	2.242	40.22	100
1 1 2	2.075	43.63	96
1 1 0	2.433	36.95	71
2 0 1	2.036	44.49	48
1 2 3	1.365	68.78	40
1 0 0	4.213	21.09	18
1 0 2	2.891	30.94	16
2 0 0	2.107	42.93	16

Crystal structure
```
data_HfTaFe4
_chemical_formula_sum 'Hf2 Ta2 Fe8'
_symmetry_space_group_name_H-M 'P -3 m 1'
_symmetry_Int_Tables_number 164
_symmetry_space_group_name_Hall '-P 3 2"'
_cell_length_a 4.8653
_cell_length_b 4.8653
_cell_length_c 7.9460
_cell_angle_alpha 90.00
_cell_angle_beta 90.00
_cell_angle_gamma 120.00
loop_
_atom_site_label
_atom_site_fract_x
_atom_site_fract_y
_atom_site_fract_z
Hf1 0.3333 0.6667 0.0654
Ta1 0.3333 0.6667 0.4411
Fe1 0.0000 0.0000 0.0000
Fe2 0.0000 0.0000 0.5000
Fe3 0.1682 0.3364 0.7453
```



(6)
Starting from a DFT-relaxed cell (GGA-PBE, the Materials Project), the XRD peak list of GeS2 was calculated for a wavelength of 1.5418 Å.
Intensities are scaled so that the largest is 100.

The 8 most intense peaks (5° ≤ 2θ ≤ 70°), by intensity:
h k l	d_spacing	two_theta	I_rel
1 1 1	6.021	14.71	100
1 7 1	2.897	30.86	18
0 8 0	2.862	31.25	18
1 5 1	3.692	24.10	17
3 1 1	3.433	25.96	15
2 4 2	2.740	32.69	15
3 3 1	3.160	28.24	13
2 2 0	5.251	16.89	13

Crystal structure
```
data_GeS2
_chemical_formula_sum 'Ge24 S48'
_symmetry_space_group_name_H-M 'F d d 2'
_symmetry_Int_Tables_number 43
_symmetry_space_group_name_Hall 'F 2 -2d'
_cell_length_a 11.8174
_cell_length_b 22.9005
_cell_length_c 7.3484
_cell_angle_alpha 90.00
_cell_angle_beta 90.00
_cell_angle_gamma 90.00
loop_
_atom_site_label
_atom_site_fract_x
_atom_site_fract_y
_atom_site_fract_z
Ge1 0.0000 0.0000 0.0000
Ge2 0.1215 0.1129 0.2568
S1 0.0478 0.4266 0.3112
S2 0.0647 0.3710 0.7949
S3 0.0921 0.2724 0.4060
```